Calculated XRD peak list of PrCo2O6 for Cu Kα, 1.54184 Å, from the PBE+U geometry in Alexandria.

Largest 12 diffraction maxima, in order of rising 2θ, 15° ≤ 2θ ≤ 90°:
- hkl 1 1 0, 19.16°, I 47
- hkl 1 0 1, 20.69°, I 100
- hkl 1 1 1, 25.04°, I 61
- hkl 2 1 0, 29.91°, I 37
- hkl 1 2 0, 31.09°, I 21
- hkl 0 0 2, 32.26°, I 32
- hkl 0 2 1, 32.47°, I 87
- hkl 2 1 1, 34.08°, I 78
- hkl 2 1 2, 44.56°, I 34
- hkl 1 2 2, 45.41°, I 30
- hkl 0 2 3, 57.66°, I 17
- hkl 4 2 1, 64.61°, I 24

Atomic structure:
Unit cell a=6.770 b=6.355 c=5.550 alpha=90.00 beta=90.00 gamma=90.00
Element x y z (fractional)
Pr  0.000  0.115  0.000
Pr  0.500  0.885  0.500
Co  0.248  0.653  0.052
Co  0.252  0.347  0.552
Co  0.748  0.347  0.552
Co  0.752  0.653  0.052
O  0.000  0.398  0.667
O  0.000  0.710  0.928
O  0.173  0.402  0.224
O  0.247  0.901  0.198
O  0.253  0.099  0.698
O  0.327  0.598  0.724
O  0.500  0.290  0.428
O  0.500  0.602  0.167
O  0.673  0.598  0.724
O  0.747  0.099  0.698
O  0.753  0.901  0.198
O  0.827  0.402  0.224